Entry 1:
The following is a computed powder diffraction line list of PmDyPt. It was derived from a cell relaxed with PBE, using λ = 1.5418 Å (Cu Kα).
Neutral-atom scattering factors, no anomalous dispersion.

Largest 10 diffraction maxima, by intensity, 2θ from 10° to 90°:
two_theta	I_rel
35.99	1000
32.17	948
22.21	662
28.98	533
31.60	533
36.67	463
39.97	459
44.42	456
31.04	451
29.41	430

Structure:
Cell: 6.9381 13.4058 7.1866 Å, 90.00 90.00 90.00°
Fractional positions:
Pm: 0.1993 0.1985 0.1053
Pm: 0.1993 0.3015 0.6053
Pm: 0.3007 0.6985 0.1053
Pm: 0.3007 0.8015 0.6053
Pm: 0.6993 0.1985 0.3947
Pm: 0.6993 0.3015 0.8947
Pm: 0.8007 0.6985 0.3947
Pm: 0.8007 0.8015 0.8947
Dy: 0.0031 0.5313 0.7603
Dy: 0.0031 0.9687 0.2603
Dy: 0.4969 0.0313 0.7603
Dy: 0.4969 0.4687 0.2603
Dy: 0.5031 0.5313 0.7397
Dy: 0.5031 0.9687 0.2397
Dy: 0.9969 0.0313 0.7397
Dy: 0.9969 0.4687 0.2397
Pt: 0.2268 0.6021 0.4584
Pt: 0.2268 0.8979 0.9584
Pt: 0.2732 0.1021 0.4584
Pt: 0.2732 0.3979 0.9584
Pt: 0.7268 0.6021 0.0416
Pt: 0.7268 0.8979 0.5416
Pt: 0.7732 0.1021 0.0416
Pt: 0.7732 0.3979 0.5416



Entry 2:
The following is a computed powder diffraction line list of Ba2Li15Ga2. It was derived from a cell relaxed with PBE, using λ = 1.5418 Å (Cu Kα).
Neutral-atom scattering factors, no anomalous dispersion.

Largest 10 diffraction maxima, by intensity, 2θ from 10° to 90°:
two_theta	I_rel
17.13	1000
29.90	293
25.45	256
34.66	234
26.94	207
36.60	201
46.41	170
32.10	160
35.49	133
44.43	107

Structure:
Cell: 7.6343 7.6343 7.6343 Å, 85.39 85.39 85.39°
Fractional positions:
Ba: 0.1541 0.1541 0.1541
Ba: 0.8459 0.8459 0.8459
Li: 0.0000 0.5000 0.5000
Li: 0.1622 0.1622 0.6170
Li: 0.1622 0.6170 0.1622
Li: 0.2446 0.5000 0.7554
Li: 0.2446 0.7554 0.5000
Li: 0.3830 0.8378 0.8378
Li: 0.5000 0.0000 0.5000
Li: 0.5000 0.2446 0.7554
Li: 0.5000 0.5000 0.0000
Li: 0.5000 0.7554 0.2446
Li: 0.6170 0.1622 0.1622
Li: 0.7554 0.2446 0.5000
Li: 0.7554 0.5000 0.2446
Li: 0.8378 0.3830 0.8378
Li: 0.8378 0.8378 0.3830
Ga: 0.4021 0.4021 0.4021
Ga: 0.5979 0.5979 0.5979



Entry 3:
The following is a computed powder diffraction line list of HfNpTa. It was derived from a cell relaxed with PBE, using λ = 1.5418 Å (Cu Kα).
Neutral-atom scattering factors, no anomalous dispersion.

Largest 10 diffraction maxima, by intensity, 2θ from 10° to 90°:
two_theta	I_rel
34.76	1000
36.38	943
34.64	885
41.75	630
40.32	603
46.66	540
38.21	506
73.73	440
67.01	302
32.35	241

Structure:
Cell: 5.4719 2.9622 7.7684 Å, 90.00 90.00 90.00°
Fractional positions:
Hf: 0.2500 0.0000 0.1382
Hf: 0.7500 0.0000 0.8618
Np: 0.0000 0.0000 0.5000
Np: 0.5000 0.0000 0.5000
Ta: 0.2500 0.5000 0.8104
Ta: 0.7500 0.5000 0.1896